Calculated powder X-ray diffraction pattern of K4SrTc3O12 for Cu Ka, from a PBE-relaxed structure.

Structure:
abc: 7.1573 7.1573 7.1573
angles: 109.47 109.47 109.47
Atoms (fractional coordinates):
K: 0.0000 0.0000 0.5000
K: 0.0000 0.5000 0.0000
K: 0.5000 0.0000 0.0000
K: 0.5000 0.5000 0.5000
Sr: 0.0000 0.0000 0.0000
Tc: 0.0000 0.5000 0.5000
Tc: 0.5000 0.0000 0.5000
Tc: 0.5000 0.5000 0.0000
O: 0.0000 0.2814 0.2814
O: 0.0000 0.7186 0.7186
O: 0.2500 0.5000 0.7500
O: 0.2500 0.7500 0.5000
O: 0.2814 0.0000 0.2814
O: 0.2814 0.2814 0.0000
O: 0.5000 0.2500 0.7500
O: 0.5000 0.7500 0.2500
O: 0.7186 0.0000 0.7186
O: 0.7186 0.7186 0.0000
O: 0.7500 0.2500 0.5000
O: 0.7500 0.5000 0.2500

The 9 most intense peaks (2θ from 5° to 70°), by angle:
- d = 5.844 Å, rel. 1.8
- d = 4.132 Å, rel. 44.8
- d = 3.374 Å, rel. 0.7
- d = 2.922 Å, rel. 100.0
- d = 2.066 Å, rel. 39.7
- d = 1.848 Å, rel. 17.8
- d = 1.687 Å, rel. 36.6
- d = 1.461 Å, rel. 22.4
- d = 1.377 Å, rel. 8.2